(1)
Theoretical X-ray diffraction stick pattern
Compound: Tb4Nd2Ho2Tm
Radiation: Cu Kα X-rays
Structure: DFT lattice parameters and positions (GGA-PBE)
Lines closer than 0.1° are merged.

The 7 most intense peaks (5 to 70 degrees two-theta), in order of rising 2θ:
d [Å]  2theta  Rel. int.
2.914  30.7  100
2.524  35.6  51
1.785  51.2  36
1.522  60.9  32
1.521  60.9  11
1.458  63.9  6
1.456  63.9  6

Unit cell a=6.1780 b=6.1823 c=7.9814 alpha=82.67 beta=75.11 gamma=80.40
Fractional coordinates of all 9 atoms:
Tb  0.0560  0.1104  0.2794
Tb  0.2783  0.5539  0.3891
Tb  0.7217  0.4461  0.6109
Tb  0.9440  0.8896  0.7206
Nd  0.1670  0.3314  0.8323
Nd  0.8330  0.6686  0.1677
Ho  0.3905  0.7772  0.9438
Ho  0.6095  0.2228  0.0562
Tm  0.5000  0.0000  0.5000

***

(2)
Theoretical X-ray diffraction stick pattern
Compound: Zr6As3N
Radiation: Cu Kα X-rays
Structure: DFT lattice parameters and positions (GGA-PBE)
Lines closer than 0.1° are merged.

The 10 most intense peaks (5 to 70 degrees two-theta), in order of rising 2θ:
d [Å]  2theta  Rel. int.
3.390  26.3  20
3.326  26.8  14
3.115  28.7  23
2.958  30.2  14
2.835  31.6  21
2.472  36.3  100
2.285  39.4  49
2.227  40.5  34
2.057  44.0  17
1.741  52.6  30

Unit cell a=8.2392 b=8.2392 c=6.2293 alpha=90.00 beta=90.00 gamma=101.25
Fractional coordinates of all 20 atoms:
Zr  0.0503  0.9497  0.5000
Zr  0.0992  0.5723  0.4784
Zr  0.2340  0.7660  0.9694
Zr  0.2957  0.3746  0.9763
Zr  0.3746  0.2957  0.4763
Zr  0.4277  0.9008  0.4784
Zr  0.5723  0.0992  0.9784
Zr  0.6254  0.7043  0.9763
Zr  0.7043  0.6254  0.4763
Zr  0.7660  0.2340  0.4694
Zr  0.9008  0.4277  0.9784
Zr  0.9497  0.0503  0.0000
As  0.0706  0.2685  0.6704
As  0.2685  0.0706  0.1704
As  0.3993  0.6007  0.2846
As  0.6007  0.3993  0.7846
As  0.7315  0.9294  0.6704
As  0.9294  0.7315  0.1704
N  0.1999  0.8001  0.6399
N  0.8001  0.1999  0.1399